Entry 1:
Diffraction record for SrN2. The powder XRD pattern is computed, not measured: it uses a DFT-relaxed cell (GGA-PBE, the Materials Project) and Cu Kα, 1.54184 Å.

Atomic structure:
Cell: 4.1655 4.1655 4.1655 Å, 124.73 124.73 81.99°
Atoms (fractional coordinates):
Sr: 0.0000 0.0000 0.0000
N: 0.4004 0.4004 0.0000
N: 0.5996 0.5996 0.0000

Principal peaks in the range 10 to 90 degrees two-theta, in order of falling intensity:
| Position (°2θ) | I (rel.) |
| --- | --- |
| 27.08 | 100 |
| 32.77 | 99 |
| 43.90 | 59 |
| 28.39 | 51 |
| 49.47 | 41 |
| 47.03 | 33 |
| 55.11 | 32 |
| 55.85 | 28 |
| 70.64 | 27 |
| 85.19 | 17 |
| 78.22 | 13 |
| 80.28 | 12 |



Entry 2:
Diffraction record for Sr4N3. The powder XRD pattern is computed, not measured: it uses a DFT-relaxed cell (GGA-PBE, the Materials Project) and Cu Kα, 1.54184 Å.

Atomic structure:
Cell: 4.0088 6.4024 6.5981 Å, 115.04 93.14 90.58°
Atoms (fractional coordinates):
Sr: 0.0000 0.0000 0.0000
Sr: 0.0401 0.5361 0.4273
Sr: 0.4929 0.5677 0.0282
Sr: 0.5548 0.1244 0.4966
N: 0.0184 0.8572 0.3130
N: 0.5188 0.2626 0.1843
N: 0.9648 0.5088 0.7709

Principal peaks in the range 10 to 90 degrees two-theta, in order of falling intensity:
| Position (°2θ) | I (rel.) |
| --- | --- |
| 27.94 | 100 |
| 27.27 | 74 |
| 33.07 | 66 |
| 29.96 | 60 |
| 35.17 | 58 |
| 30.85 | 57 |
| 32.69 | 54 |
| 45.34 | 32 |
| 54.79 | 23 |
| 42.86 | 20 |
| 14.85 | 20 |
| 34.48 | 20 |



Entry 3:
Diffraction record for Sr4N3. The powder XRD pattern is computed, not measured: it uses a DFT-relaxed cell (GGA-PBE, the Materials Project) and Cu Kα, 1.54184 Å.

Atomic structure:
Cell: 7.0807 7.0807 6.5602 Å, 115.25 115.25 32.10°
Atoms (fractional coordinates):
Sr: 0.1315 0.1315 0.4454
Sr: 0.3623 0.3623 0.0028
Sr: 0.6377 0.6377 0.9972
Sr: 0.8685 0.8685 0.5546
N: 0.0000 0.0000 0.0000
N: 0.2752 0.2752 0.2885
N: 0.7248 0.7248 0.7115

Principal peaks in the range 10 to 90 degrees two-theta, in order of falling intensity:
| Position (°2θ) | I (rel.) |
| --- | --- |
| 30.65 | 100 |
| 30.08 | 91 |
| 29.29 | 55 |
| 30.41 | 50 |
| 39.47 | 44 |
| 31.54 | 43 |
| 47.67 | 39 |
| 55.84 | 32 |
| 26.52 | 29 |
| 46.38 | 27 |
| 53.17 | 27 |
| 56.48 | 17 |